Calculated X-ray powder pattern
Compound: PmNd3Sm2
Radiation: Cu Kα (λ = 1.5418 Å)
Structure: a crystal structure in Alexandria, relaxed with PBE

Largest 6 diffraction maxima, by angle, 5° ≤ 2θ ≤ 70°:
d (Å)  I/Imax
3.241  26
2.943  100
2.804  50
2.795  39
2.592  34
1.540  29

Cell and atoms:
```
PmNd3Sm2
1.0
9.876 0.000 0.000
0.000 3.613 0.000
-0.728 0.000 11.756
Pm Nd Sm
2 6 4
Cartesian
2.142 0.903 4.186
7.006 2.710 7.570
0.680 2.710 1.407
1.703 2.710 10.122
3.523 2.710 7.111
5.625 0.903 4.645
7.445 0.903 1.634
8.468 0.903 10.348
0.372 0.903 7.292
4.281 2.710 1.641
4.867 0.903 10.115
8.775 2.710 4.464
```


Calculated X-ray powder pattern
Compound: Pm2Nd5Sm6
Radiation: Cu Kα (λ = 1.5418 Å)
Structure: a crystal structure in Alexandria, relaxed with PBE

Largest 6 diffraction maxima, by angle, 5° ≤ 2θ ≤ 70°:
d (Å)  I/Imax
2.943  69
2.905  54
2.892  70
2.844  100
2.675  43
2.508  32

Cell and atoms:
```
Pm2Nd5Sm6
1.0
11.892 0.000 0.000
0.000 20.867 0.000
0.000 0.000 3.659
Pm Nd Sm
4 10 12
Cartesian
2.072 4.503 0.000
3.874 14.937 0.000
8.018 5.930 0.000
9.820 16.364 0.000
0.000 10.434 1.830
0.999 16.229 1.830
2.372 1.141 1.830
3.574 11.575 1.830
4.947 5.795 1.830
5.946 0.000 1.830
6.945 15.072 1.830
8.318 9.293 1.830
9.520 19.726 1.830
10.893 4.639 1.830
0.736 19.257 0.000
0.919 13.240 0.000
2.132 7.683 1.830
3.814 18.117 1.830
5.026 2.806 0.000
5.210 8.823 0.000
6.682 12.045 0.000
6.865 18.061 0.000
8.078 2.750 1.830
9.760 13.184 1.830
10.972 7.627 0.000
11.156 1.611 0.000
```


Calculated X-ray powder pattern
Compound: Pm3Nd3Sm4
Radiation: Cu Kα (λ = 1.5418 Å)
Structure: a crystal structure in Alexandria, relaxed with PBE

Largest 6 diffraction maxima, by angle, 5° ≤ 2θ ≤ 70°:
d (Å)  I/Imax
3.046  63
2.975  29
2.842  100
1.690  17
1.617  17
1.606  24

Cell and atoms:
```
Pm3Nd3Sm4
1.0
3.782 0.000 0.000
0.000 6.809 6.814
0.000 -6.809 6.814
Pm Nd Sm
3 3 4
Cartesian
0.000 0.000 0.000
1.891 -3.411 7.864
1.891 3.411 7.864
0.000 -2.351 4.457
0.000 2.351 4.457
0.000 0.000 8.926
1.891 0.000 2.728
1.891 0.000 6.185
1.891 -1.722 11.285
1.891 1.722 11.285
```


Calculated X-ray powder pattern
Compound: Pm2Nd7Sm2
Radiation: Cu Kα (λ = 1.5418 Å)
Structure: a crystal structure in Alexandria, relaxed with PBE

Largest 6 diffraction maxima, by angle, 5° ≤ 2θ ≤ 70°:
d (Å)  I/Imax
3.202  23
2.967  26
2.818  100
1.849  20
1.683  22
1.569  23

Cell and atoms:
```
Pm2Nd7Sm2
1.0
8.123 -3.202 0.000
8.123 3.202 0.000
-5.764 0.000 14.861
Pm Nd Sm
4 14 4
Cartesian
2.884 2.136 7.763
4.715 2.136 14.528
5.766 -2.136 0.333
7.597 -2.136 7.098
5.409 2.139 5.068
4.508 1.059 1.693
7.954 2.139 2.362
1.269 1.062 13.841
3.799 1.075 11.146
6.330 1.062 8.451
1.626 -1.059 9.123
8.855 1.059 5.738
4.151 -1.062 6.410
6.682 -1.075 3.715
9.212 -1.062 1.020
2.527 -2.139 12.499
5.973 -1.059 13.168
5.072 -2.139 9.793
1.990 1.061 4.392
-0.892 -1.061 11.822
11.373 1.061 3.039
8.491 -1.061 10.469
```